Be3Au: theoretical powder diffraction line list (Cu Kα), based on a DFT-relaxed cell (PBE, Alexandria).

Main lines, by intensity (2θ = 10–90°):
Position (°2θ)  Rel. int.  (hkl)
19.7  100  0 0 1
30.9  73  0 1 1
23.6  68  0 1 0
44.3  33  1 1 -1
42.8  31  1 1 0
46.9  29  0 1 2
48.3  25  0 2 0
35.2  24  1 0 0

Structure:
a b c (Å): 2.6019 3.7643 4.6024
angles (deg): 90.00 101.33 90.00
Space group P2/m (No. 10)
Asymmetric unit:
1 Be 0.0000 0.0000 0.0000
2 Be 0.1848 0.5000 0.7866
3 Au 0.5000 0.0000 0.5000

---

Rb2LaNb2ClO7: theoretical powder diffraction line list (Cu Kα), based on a DFT-relaxed cell (PBE, Alexandria).

Main lines, by intensity (2θ = 10–90°):
Position (°2θ)  Rel. int.  (hkl)
28.6  100  1 0 3
32.2  46  1 1 0
55.2  31  2 1 3
46.1  25  2 0 0
37.2  16  1 0 5
25.4  16  1 0 2
48.4  15  1 1 6
47.5  11  0 0 8

Structure:
a b c (Å): 3.9362 3.9362 15.3319
angles (deg): 90.00 90.00 90.00
Space group P4/mmm (No. 123)
Asymmetric unit:
1 Rb 0.0000 0.0000 0.1324
2 La 0.0000 0.0000 0.5000
3 Nb 0.5000 0.5000 0.3500
4 Cl 0.5000 0.5000 0.0000
5 O 0.0000 0.5000 0.3787
6 O 0.5000 0.5000 0.2321
7 O 0.5000 0.5000 0.5000

---

Pm8Ir2Rh3: theoretical powder diffraction line list (Cu Kα), based on a DFT-relaxed cell (PBE, Alexandria).

Main lines, by intensity (2θ = 10–90°):
Position (°2θ)  Rel. int.  (hkl)
36.3  100  2 0 2
36.4  66  3 1 -1
52.4  35  2 2 2
36.5  33  0 2 0
65.3  30  5 1 1
65.5  24  4 2 -4
25.5  17  1 1 1
88.5  16  5 3 1

Structure:
a b c (Å): 8.5666 4.9259 8.5768
angles (deg): 90.00 109.36 90.00
Space group P2/m (No. 10)
Asymmetric unit:
1 Pm 0.1237 0.0000 0.3756
2 Pm 0.1253 0.5000 0.8745
3 Pm 0.3738 0.5000 0.6249
4 Pm 0.3748 0.0000 0.1256
5 Ir 0.2489 0.5000 0.2510
6 Rh 0.2510 0.0000 0.7509
7 Rh 0.5000 0.5000 0.0000

---

Please write out number 3 again, unchanged.
Pm8Ir2Rh3: theoretical powder diffraction line list (Cu Kα), based on a DFT-relaxed cell (PBE, Alexandria).

Main lines, by intensity (2θ = 10–90°):
Position (°2θ)  Rel. int.  (hkl)
36.3  100  2 0 2
36.4  66  3 1 -1
52.4  35  2 2 2
36.5  33  0 2 0
65.3  30  5 1 1
65.5  24  4 2 -4
25.5  17  1 1 1
88.5  16  5 3 1

Structure:
a b c (Å): 8.5666 4.9259 8.5768
angles (deg): 90.00 109.36 90.00
Space group P2/m (No. 10)
Asymmetric unit:
1 Pm 0.1237 0.0000 0.3756
2 Pm 0.1253 0.5000 0.8745
3 Pm 0.3738 0.5000 0.6249
4 Pm 0.3748 0.0000 0.1256
5 Ir 0.2489 0.5000 0.2510
6 Rh 0.2510 0.0000 0.7509
7 Rh 0.5000 0.5000 0.0000